Starting from a PBE-relaxed structure, the powder diffractogram of Ca7Ge was computed for Cu Kα, 1.54184 Å.
Neutral-atom scattering factors, no anomalous dispersion.

```
data_Ca7Ge
_symmetry_space_group_name_H-M 'F m -3 m'
_symmetry_Int_Tables_number 225
_symmetry_space_group_name_Hall '-F 4 2 3'
_cell_length_a 10.5242
_cell_length_b 10.5242
_cell_length_c 10.5242
_cell_angle_alpha 90.00
_cell_angle_beta 90.00
_cell_angle_gamma 90.00
loop_
_atom_site_label
_atom_site_fract_x
_atom_site_fract_y
_atom_site_fract_z
Ca1 0.0000 0.0000 0.0000
Ca2 0.0000 0.2500 0.2500
Ge1 0.0000 0.0000 0.5000
```

Largest 8 diffraction maxima, by angle, 5 to 70 degrees two-theta:
Position (°2θ)  I_rel  h k l
14.58  4  1 1 1
16.85  2  2 0 0
28.12  3  3 1 1
29.40  100  2 2 2
34.08  50  4 0 0
48.96  33  4 4 0
58.14  38  6 2 2
61.00  11  4 4 4